Simulated PXRD pattern
Compound: SnB2Rh5
Radiation: λ = 1.5418 Å (Cu Kα)
Structure: a DFT-relaxed cell (PBE, Alexandria)
Neutral-atom scattering factors, no anomalous dispersion.

Atomic structure:
```
8
Lattice="-1.603 2.789 5.959 1.603 -2.789 5.959 1.603 2.789 -5.959" Properties=species:S:1:pos:R:3 pbc="T T T"
Sn 0.000 0.000 0.000
B 1.603 0.000 3.594
B 0.000 2.789 2.365
Rh 1.603 1.437 -1.872
Rh 1.603 1.437 1.872
Rh 0.000 2.789 0.000
Rh 0.000 1.353 4.086
Rh 0.000 1.353 7.831
```

Largest 12 diffraction maxima, low angle first, 10 to 90 degrees two-theta:
2θ/deg, intensity
35.54, 38
35.99, 100
43.68, 63
44.50, 38
45.68, 25
57.48, 14
58.51, 14
69.43, 11
71.24, 21
75.47, 16
76.33, 11
78.59, 20